Calculated X-ray diffraction stick pattern
Compound: KCoAsO4
Radiation: Cu Kα
Structure: a GGA+U-relaxed structure
No peak broadening, texture or thermal motion is included.

Structure:
a = 5.0056 Å, b = 5.0056 Å, c = 28.4732 Å
α = 90.00°, β = 90.00°, γ = 120.00°
Space group R-3 (No. 148, hexagonal axes)
Unique sites:
K 0.0000 0.0000 0.2104 x6
Co 0.0000 0.0000 0.3353 x6
As 0.0000 0.0000 0.0621 x6
O 0.0000 0.0000 0.1216 x6
O 0.0010 0.6608 0.6236 x18

Peak list (8 most intense, 10 to 90 degrees two-theta, sorted by position)
2θ = 20.73°, d 4.286, I 57, hkl 1 0 1; 2θ = 30.13°, d 2.966, I 100, hkl 1 0 7; 2θ = 32.55°, d 2.751, I 47, hkl 0 1 8; 2θ = 35.88°, d 2.503, I 99, hkl 1 1 0; 2θ = 47.53°, d 1.913, I 28, hkl 0 2 7; 2θ = 60.96°, d 1.520, I 25, hkl 2 1 7; 2θ = 61.29°, d 1.512, I 40, hkl 1 1 15; 2θ = 64.49°, d 1.445, I 30, hkl 3 0 0